Starting from a DFT-relaxed cell (GGA-PBE, Alexandria), the XRD peak list of Li2Cd3Hg2 was computed for Cu Kα.
Intensities are scaled so that the largest is 100.

Principal peaks in the range 2θ = 15–90°, sorted by position:
(0 1 2), 23.0°, intensity 33; (1 0 4), 27.0°, intensity 52; (0 1 5), 29.7°, intensity 56; (1 0 7), 36.0°, intensity 74; (1 1 0), 37.6°, intensity 100; (0 1 11), 51.0°, intensity 18; (0 2 7), 53.1°, intensity 24; (2 1 7), 66.9°, intensity 24

Crystal structure
```
data_Li2Cd3Hg2
_chemical_formula_sum 'Li6 Cd9 Hg6'
_cell_length_a 4.7824
_cell_length_b 4.7824
_cell_length_c 21.8425
_cell_angle_alpha 90.00
_cell_angle_beta 90.00
_cell_angle_gamma 120.00
_space_group_name_H-M_alt 'R -3 m'
_space_group_IT_number 166
_space_group_name_Hall '-R 3 2"'
loop_
_atom_site_label
_atom_site_type_symbol
_atom_site_fract_x
_atom_site_fract_y
_atom_site_fract_z
Li1 Li 0.0000 0.0000 0.2230
Cd1 Cd 0.0000 0.0000 0.3607
Cd2 Cd 0.0000 0.0000 0.5000
Hg1 Hg 0.0000 0.0000 0.0909
```